[1]
Computed powder diffractogram
Compound: MgMn6O8F4
Radiation: copper Kα
Structure: a GGA+U-relaxed structure

Main lines, low angle first (2θ = 15–90°):
- 23.48°, rel. 100.0, (-1 1 1)
- 27.74°, rel. 94.2, (1 1 -1)
- 32.83°, rel. 22.7, (-1 1 2)
- 34.32°, rel. 35.4, (1 0 2)
- 34.72°, rel. 57.5, (0 1 -3)
- 35.06°, rel. 23.3, (2 -1 1)
- 40.83°, rel. 23.9, (2 0 1)
- 53.97°, rel. 24.9, (1 2 -4)
- 57.31°, rel. 23.3, (2 2 -2)
- 60.90°, rel. 25.9, (2 -2 4)

Structure:
```
19
Lattice="5.719 0.000 0.000 -2.248 5.421 0.000 -0.967 -3.024 7.181" Properties=species:S:1:pos:R:3 pbc="T T T"
Mg 0.000 0.000 0.000
Mn -0.487 -1.333 3.616
Mn 0.126 1.878 2.554
Mn -0.668 2.630 5.558
Mn 3.353 -0.465 1.368
Mn 2.236 0.464 4.605
Mn 3.588 -0.366 7.146
O -2.149 1.214 5.926
O -1.162 2.976 3.789
O 0.432 0.358 3.804
O 0.211 3.229 1.220
O 0.572 1.832 6.664
O 2.162 -0.961 5.923
O 3.533 -0.456 3.278
O 4.562 1.150 1.228
F -0.751 -1.566 5.837
F 1.566 0.618 1.058
F 1.944 2.292 3.600
F 3.174 3.932 1.382
```

[2]
Computed powder diffractogram
Compound: V2CuH6N2O6
Radiation: copper Kα
Structure: a GGA+U-relaxed structure

Main lines, low angle first (2θ = 15–90°):
- 15.70°, rel. 42.7, (1 0 0)
- 21.71°, rel. 70.0, (1 0 -2)
- 21.83°, rel. 80.3, (0 1 2)
- 22.16°, rel. 25.2, (1 1 0)
- 27.22°, rel. 100.0, (1 1 2)
- 31.31°, rel. 34.5, (0 2 0)
- 35.48°, rel. 19.6, (2 1 0)
- 37.96°, rel. 16.3, (1 1 -4)
- 38.45°, rel. 20.2, (1 2 -2)
- 53.29°, rel. 19.1, (3 1 -2)

Structure:
```
34
Lattice="5.646 0.000 0.000 0.000 5.714 0.000 -0.274 0.000 11.601" Properties=species:S:1:pos:R:3 pbc="T T T"
V 0.000 0.276 0.000
V -0.137 5.438 5.801
V 2.966 0.288 2.066
V 2.829 5.426 7.867
Cu 4.253 2.851 3.921
Cu 4.116 2.863 9.722
H 0.176 1.520 8.377
H 0.313 4.194 2.577
H 0.969 2.707 2.846
H 0.832 3.007 8.646
H 2.023 1.916 4.842
H 1.886 3.798 10.643
H 2.203 2.307 11.297
H 2.340 3.407 5.497
H 3.165 2.065 6.033
H 3.302 3.649 0.233
H 5.320 2.819 7.484
H 5.457 2.895 1.684
N -0.042 2.519 8.424
N 0.095 3.195 2.623
N 2.764 2.522 5.208
N 2.627 3.192 11.009
O -0.017 0.688 4.460
O -0.154 5.025 10.261
O 1.507 0.177 0.998
O 1.370 5.537 6.799
O 2.636 0.667 9.199
O 2.773 5.047 3.398
O 3.247 1.925 2.498
O 3.110 3.789 8.299
O 4.190 0.396 6.863
O 4.327 5.318 1.062
O 5.059 1.911 11.187
O 5.196 3.802 5.386
```